# 1
Diffraction record for YMg6B. The X-ray diffraction stick pattern is theoretical, not measured: it uses the GGA-PBE geometry in the Materials Project and Cu Kα (λ = 1.5418 Å).
Neutral-atom scattering factors, no anomalous dispersion.

Structure:
Cell: 4.5802 7.1683 7.1683 Å, 46.76 90.00 90.00°
Fractional coordinates of all 8 atoms:
Y (0.0000, 0.0000, 0.0000)
Mg (0.0000, 0.9997, 0.5027)
Mg (0.0000, 0.5027, 0.9997)
Mg (0.5000, 0.1462, 0.6269)
Mg (0.5000, 0.1606, 0.1606)
Mg (0.5000, 0.5919, 0.5919)
Mg (0.5000, 0.6269, 0.1462)
B (0.0000, 0.4213, 0.4213)

Peak list (12 most intense, 2θ from 5° to 70°, by angle)
2θ/deg, intensity
13.46, 26
16.98, 59
25.64, 21
25.87, 70
32.35, 58
33.54, 100
34.34, 52
37.66, 27
39.34, 41
39.74, 87
52.70, 23
53.20, 29

***

# 2
Diffraction record for YMg6B. The X-ray diffraction stick pattern is theoretical, not measured: it uses the GGA-PBE geometry in the Materials Project and Cu Kα (λ = 1.5418 Å).
Neutral-atom scattering factors, no anomalous dispersion.

Structure:
Cell: 4.7503 6.5563 6.5563 Å, 57.68 90.00 90.00°
Fractional coordinates of all 8 atoms:
Y (0.0000, 0.0000, 0.0000)
Mg (0.0000, 0.0122, 0.5262)
Mg (0.0000, 0.5262, 0.0122)
Mg (0.0000, 0.5285, 0.5285)
Mg (0.5000, 0.3669, 0.3669)
Mg (0.5000, 0.3691, 0.8615)
Mg (0.5000, 0.8615, 0.3691)
B (0.5000, 0.8840, 0.8840)

Peak list (12 most intense, 2θ from 5° to 70°, by angle)
2θ/deg, intensity
15.43, 29
16.00, 31
18.68, 24
24.69, 47
27.23, 21
32.32, 53
36.57, 76
37.59, 100
37.88, 38
50.62, 29
68.22, 18
69.75, 17

***

# 3
Diffraction record for Mg14ZnB. The X-ray diffraction stick pattern is theoretical, not measured: it uses the GGA-PBE geometry in the Materials Project and Cu Kα (λ = 1.5418 Å).
Neutral-atom scattering factors, no anomalous dispersion.

Structure:
Cell: 10.0342 6.2030 6.2030 Å, 61.02 90.00 90.00°
Fractional coordinates of all 16 atoms:
Mg (0.0000, 0.0000, 0.0000)
Mg (0.0000, 0.0054, 0.5039)
Mg (0.0000, 0.4988, 0.4988)
Mg (0.0000, 0.5039, 0.0054)
Mg (0.2477, 0.6694, 0.6694)
Mg (0.2516, 0.1698, 0.1698)
Mg (0.2824, 0.1687, 0.6846)
Mg (0.2824, 0.6846, 0.1687)
Mg (0.5000, 0.4655, 0.9789)
Mg (0.5000, 0.9789, 0.4655)
Mg (0.7176, 0.1687, 0.6846)
Mg (0.7176, 0.6846, 0.1687)
Mg (0.7484, 0.1698, 0.1698)
Mg (0.7523, 0.6694, 0.6694)
Zn (0.5000, 0.5000, 0.5000)
B (0.5000, 0.0278, 0.0278)

Peak list (12 most intense, 2θ from 5° to 70°, by angle)
2θ/deg, intensity
8.81, 13
18.59, 15
24.16, 10
33.02, 18
33.54, 16
35.80, 33
37.69, 100
38.16, 36
49.49, 10
58.63, 9
59.63, 13
65.57, 14

***

# 4
Diffraction record for Mg14ZnB. The X-ray diffraction stick pattern is theoretical, not measured: it uses the GGA-PBE geometry in the Materials Project and Cu Kα (λ = 1.5418 Å).
Neutral-atom scattering factors, no anomalous dispersion.

Structure:
Cell: 6.1833 6.1833 10.0307 Å, 90.00 90.00 120.00°
Fractional coordinates of all 16 atoms:
Mg (0.0000, 0.0000, 0.2470)
Mg (0.0000, 0.0000, 0.7530)
Mg (0.0119, 0.5060, 0.2567)
Mg (0.0119, 0.5060, 0.7433)
Mg (0.3302, 0.1651, 0.5000)
Mg (0.3355, 0.1678, 0.0000)
Mg (0.4940, 0.5060, 0.2567)
Mg (0.4940, 0.5060, 0.7433)
Mg (0.4940, 0.9881, 0.2567)
Mg (0.4940, 0.9881, 0.7433)
Mg (0.8322, 0.1678, 0.0000)
Mg (0.8322, 0.6645, 0.0000)
Mg (0.8349, 0.1651, 0.5000)
Mg (0.8349, 0.6698, 0.5000)
Zn (0.3333, 0.6667, 0.0000)
B (0.3333, 0.6667, 0.5000)

Peak list (12 most intense, 2θ from 5° to 70°, by angle)
2θ/deg, intensity
8.82, 11
16.55, 4
18.78, 15
30.25, 6
31.55, 6
33.47, 24
34.68, 4
35.81, 26
38.10, 100
49.82, 15
59.83, 17
65.86, 18

***

# 5
Diffraction record for MnB4. The X-ray diffraction stick pattern is theoretical, not measured: it uses the GGA-PBE geometry in the Materials Project and Cu Kα (λ = 1.5418 Å).
Neutral-atom scattering factors, no anomalous dispersion.

Structure:
Cell: 3.8428 3.8428 3.8428 Å, 134.79 105.86 91.28°
Fractional coordinates of all 5 atoms:
Mn (0.0000, 0.0000, 0.0000)
B (0.1377, 0.3406, 0.7971)
B (0.4564, 0.6594, 0.7971)
B (0.5436, 0.3406, 0.2029)
B (0.8623, 0.6594, 0.2029)

Peak list (12 most intense, 2θ from 5° to 70°, by angle)
2θ/deg, intensity
25.38, 100
33.35, 17
34.65, 25
36.06, 65
49.93, 31
52.13, 21
53.05, 43
54.96, 17
60.44, 21
62.58, 12
62.92, 9
68.98, 10

***

# 6
Diffraction record for MnB4. The X-ray diffraction stick pattern is theoretical, not measured: it uses the GGA-PBE geometry in the Materials Project and Cu Kα (λ = 1.5418 Å).
Neutral-atom scattering factors, no anomalous dispersion.

Structure:
Cell: 5.4437 5.3639 5.4759 Å, 90.00 114.81 90.00°
Fractional coordinates of all 20 atoms:
Mn (0.2295, 0.0005, 0.2237)
Mn (0.2295, 0.4995, 0.7237)
Mn (0.7705, 0.5005, 0.2763)
Mn (0.7705, 0.9995, 0.7763)
B (0.1358, 0.6859, 0.3625)
B (0.1358, 0.8141, 0.8625)
B (0.1706, 0.1308, 0.8256)
B (0.1706, 0.3692, 0.3256)
B (0.3373, 0.6306, 0.1588)
B (0.3373, 0.8694, 0.6588)
B (0.3702, 0.1797, 0.6266)
B (0.3702, 0.3203, 0.1266)
B (0.6298, 0.6797, 0.8734)
B (0.6298, 0.8203, 0.3734)
B (0.6627, 0.1306, 0.3412)
B (0.6627, 0.3694, 0.8412)
B (0.8294, 0.6308, 0.6744)
B (0.8294, 0.8692, 0.1744)
B (0.8642, 0.1859, 0.1375)
B (0.8642, 0.3141, 0.6375)

Peak list (12 most intense, 2θ from 5° to 70°, by angle)
2θ/deg, intensity
25.51, 100
33.41, 19
34.79, 23
36.14, 31
36.36, 32
50.04, 16
50.21, 16
52.41, 22
53.21, 19
53.54, 20
55.11, 17
60.61, 19

***

# 7
Diffraction record for MnB4. The X-ray diffraction stick pattern is theoretical, not measured: it uses the GGA-PBE geometry in the Materials Project and Cu Kα (λ = 1.5418 Å).
Neutral-atom scattering factors, no anomalous dispersion.

Structure:
Cell: 4.6149 5.3658 2.9482 Å, 90.00 90.00 90.00°
Fractional coordinates of all 10 atoms:
Mn (0.0000, 0.0000, 0.0000)
Mn (0.5000, 0.5000, 0.5000)
B (0.1651, 0.3688, 0.0000)
B (0.2356, 0.6835, 0.0000)
B (0.2644, 0.1835, 0.5000)
B (0.3349, 0.8688, 0.5000)
B (0.6651, 0.1312, 0.5000)
B (0.7356, 0.8165, 0.5000)
B (0.7644, 0.3165, 0.0000)
B (0.8349, 0.6312, 0.0000)

Peak list (12 most intense, 2θ from 5° to 70°, by angle)
2θ/deg, intensity
25.46, 100
33.40, 19
34.72, 27
36.15, 68
50.04, 35
52.29, 22
53.22, 42
55.07, 17
60.55, 20
62.84, 12
63.06, 10
69.15, 10

***

# 8
Diffraction record for Mn3B4. The X-ray diffraction stick pattern is theoretical, not measured: it uses the GGA-PBE geometry in the Materials Project and Cu Kα (λ = 1.5418 Å).
Neutral-atom scattering factors, no anomalous dispersion.

Structure:
Cell: 6.7208 6.7208 6.7208 Å, 154.58 154.44 36.36°
Fractional coordinates of all 7 atoms:
Mn (0.0000, 0.0000, 0.0000)
Mn (0.1863, 0.6863, 0.5000)
Mn (0.8137, 0.3137, 0.5000)
B (0.3574, 0.8574, 0.5000)
B (0.4328, 0.4328, 0.0000)
B (0.5672, 0.5672, 0.0000)
B (0.6426, 0.1426, 0.5000)

Peak list (12 most intense, 2θ from 5° to 70°, by angle)
2θ/deg, intensity
27.95, 6
30.88, 39
36.87, 7
37.01, 87
42.47, 26
43.14, 9
45.53, 100
46.90, 60
52.19, 15
59.53, 14
62.47, 16
62.84, 15

***

# 9
Diffraction record for MnB2. The X-ray diffraction stick pattern is theoretical, not measured: it uses the GGA-PBE geometry in the Materials Project and Cu Kα (λ = 1.5418 Å).
Neutral-atom scattering factors, no anomalous dispersion.

Structure:
Cell: 2.9890 2.9890 2.9475 Å, 90.00 90.00 120.00°
Fractional coordinates of all 3 atoms:
Mn (0.0000, 0.0000, 0.0000)
B (0.3333, 0.6667, 0.5000)
B (0.6667, 0.3333, 0.5000)

Peak list (5 most intense, 2θ from 5° to 70°, by angle)
2θ/deg, intensity
30.32, 23
34.65, 71
46.70, 100
62.11, 24
63.08, 8

***

# 10
Diffraction record for MnB. The X-ray diffraction stick pattern is theoretical, not measured: it uses the GGA-PBE geometry in the Materials Project and Cu Kα (λ = 1.5418 Å).
Neutral-atom scattering factors, no anomalous dispersion.

Structure:
Cell: 6.7701 6.7701 3.9608 Å, 90.00 90.00 90.00°
Fractional coordinates of all 16 atoms:
Mn (0.1237, 0.1237, 0.1287)
Mn (0.1237, 0.3763, 0.6287)
Mn (0.3763, 0.1237, 0.6287)
Mn (0.3763, 0.3763, 0.1287)
Mn (0.6237, 0.6237, 0.8713)
Mn (0.6237, 0.8763, 0.3713)
Mn (0.8763, 0.6237, 0.3713)
Mn (0.8763, 0.8763, 0.8713)
B (0.0695, 0.0695, 0.6327)
B (0.0695, 0.4305, 0.1327)
B (0.4305, 0.0695, 0.1327)
B (0.4305, 0.4305, 0.6327)
B (0.5695, 0.5695, 0.3673)
B (0.5695, 0.9305, 0.8673)
B (0.9305, 0.5695, 0.8673)
B (0.9305, 0.9305, 0.3673)

Peak list (12 most intense, 2θ from 5° to 70°, by angle)
2θ/deg, intensity
18.53, 100
29.27, 16
37.39, 45
42.21, 25
44.21, 28
47.86, 31
48.33, 13
54.05, 19
54.19, 19
57.78, 6
62.38, 16
62.78, 2

***

# 11
Diffraction record for MnB. The X-ray diffraction stick pattern is theoretical, not measured: it uses the GGA-PBE geometry in the Materials Project and Cu Kα (λ = 1.5418 Å).
Neutral-atom scattering factors, no anomalous dispersion.

Structure:
Cell: 5.4620 2.9834 4.1235 Å, 90.00 90.00 90.00°
Fractional coordinates of all 8 atoms:
Mn (0.1747, 0.2500, 0.1230)
Mn (0.3253, 0.7500, 0.6230)
Mn (0.6747, 0.2500, 0.3770)
Mn (0.8253, 0.7500, 0.8770)
B (0.0333, 0.2500, 0.6149)
B (0.4667, 0.7500, 0.1149)
B (0.5333, 0.2500, 0.8851)
B (0.9667, 0.7500, 0.3851)

Peak list (12 most intense, 2θ from 5° to 70°, by angle)
2θ/deg, intensity
27.10, 18
32.79, 25
37.20, 64
39.58, 41
40.83, 100
45.00, 73
47.11, 71
50.42, 32
55.14, 31
56.84, 30
62.24, 21
69.14, 3

***

# 12
Diffraction record for Mn4B. The X-ray diffraction stick pattern is theoretical, not measured: it uses the GGA-PBE geometry in the Materials Project and Cu Kα (λ = 1.5418 Å).
Neutral-atom scattering factors, no anomalous dispersion.

Structure:
Cell: 7.8067 7.2506 4.0687 Å, 82.03 66.90 31.07°
Fractional coordinates of all 10 atoms:
Mn (0.0783, 0.4217, 0.0783)
Mn (0.0812, 0.0812, 0.9188)
Mn (0.3435, 0.6565, 0.3435)
Mn (0.4217, 0.0783, 0.4217)
Mn (0.6565, 0.3435, 0.6565)
Mn (0.6677, 0.6677, 0.8323)
Mn (0.8323, 0.8323, 0.6677)
Mn (0.9188, 0.9188, 0.0812)
B (0.1252, 0.1252, 0.3748)
B (0.3748, 0.3748, 0.1252)

Peak list (12 most intense, 2θ from 5° to 70°, by angle)
2θ/deg, intensity
25.59, 13
26.18, 11
31.97, 13
41.39, 56
45.04, 83
46.81, 100
48.88, 22
52.12, 6
52.90, 32
58.64, 12
58.94, 21
65.98, 3